# Ho2CoSi
Simulated PXRD pattern, a wavelength of 1.5418 Å. Input: a crystal structure in OQMD, relaxed with GGA-PBE.
Kinematic intensities with the Lorentz-polarization factor, no thermal factor.

Cell and atoms:
Cell: 4.0135 7.3667 5.5744 Å, 90.00 90.00 90.00°
Space group Pmn2_1 (No. 31)
Symmetry-distinct sites (fractional):
Ho: 0.0000 0.0551 0.0000 (multiplicity 2)
Ho: 0.0000 0.5899 0.2437 (multiplicity 2)
Co: 0.0000 0.2282 0.4633 (multiplicity 2)
Si: 0.0000 0.7072 0.7486 (multiplicity 2)

Principal peaks in the range 2θ from 10° to 90°, in order of falling intensity:
(1 1 1), 2.979 Å, rel. 100.0
(0 1 2), 2.607 Å, rel. 91.3
(1 2 0), 2.714 Å, rel. 87.1
(1 2 1), 2.440 Å, rel. 67.0
(1 1 2), 2.186 Å, rel. 60.7
(1 0 1), 3.257 Å, rel. 58.8
(0 3 1), 2.247 Å, rel. 47.0
(1 3 2), 1.674 Å, rel. 42.1